Cu3Ag17: simulated X-ray powder pattern (copper Kα), based on a DFT-relaxed cell (PBE, OQMD).
No peak broadening, texture or thermal motion is included.

Top 8 peaks for 10° ≤ 2θ ≤ 90°, sorted by position:
| h k l | Position (°2θ) | intensity |
| --- | --- | --- |
| 2 1 -2 | 38.06 | 100.0 |
| 0 1 -4 | 38.19 | 33.0 |
| 2 0 2 | 43.91 | 21.8 |
| -2 1 4 | 44.21 | 21.2 |
| 0 3 -2 | 44.70 | 20.7 |
| 2 -3 4 | 64.61 | 12.7 |
| 4 -2 2 | 76.82 | 7.6 |
| 4 0 -6 | 77.19 | 7.5 |

Crystal structure
Cell: 5.8211 6.4203 10.0104 Å, 96.94 106.61 102.91°
Fractional coordinates of all 20 atoms:
Cu (0.0000, 0.0000, 0.0000)
Cu (0.0940, 0.6267, 0.9069)
Cu (0.2797, 0.8096, 0.1864)
Ag (0.0935, 0.6119, 0.3923)
Ag (0.1915, 0.2006, 0.2890)
Ag (0.1923, 0.2221, 0.8041)
Ag (0.2928, 0.8121, 0.7014)
Ag (0.3861, 0.4224, 0.0947)
Ag (0.3932, 0.4122, 0.5960)
Ag (0.4795, 0.0069, 0.0004)
Ag (0.4913, 0.0093, 0.4958)
Ag (0.5885, 0.6150, 0.3928)
Ag (0.5998, 0.6183, 0.8987)
Ag (0.6889, 0.2089, 0.2957)
Ag (0.6997, 0.2131, 0.8043)
Ag (0.7956, 0.8144, 0.1940)
Ag (0.8026, 0.8161, 0.7063)
Ag (0.8944, 0.4174, 0.6018)
Ag (0.8971, 0.4097, 0.0942)
Ag (0.9933, 0.0132, 0.4995)